The following is a simulated X-ray powder pattern of KIn3Cl4. It was derived from DFT lattice parameters and positions (GGA-PBE), using Cu Kα X-rays.

Peak list (10 most intense, 10° ≤ 2θ ≤ 90°, sorted by position)
d 3.789, I = 18
d 3.771, I = 17
d 3.643, I = 31
d 3.225, I = 100
d 3.188, I = 53
d 2.347, I = 19
d 2.271, I = 36
d 2.263, I = 36
d 2.220, I = 15
d 1.822, I = 16

abc: 7.8980 8.8790 7.9367
angles: 90.00 107.29 90.00
Fractional coordinates of all 16 atoms:
K  0.0000  0.1230  0.2500
K  0.0000  0.8770  0.7500
In  0.0000  0.3657  0.7500
In  0.0000  0.6343  0.2500
In  0.5000  0.1414  0.7500
In  0.5000  0.3705  0.2500
In  0.5000  0.6295  0.7500
In  0.5000  0.8586  0.2500
Cl  0.2188  0.3989  0.4644
Cl  0.2188  0.6011  0.9644
Cl  0.2745  0.0936  0.0328
Cl  0.2745  0.9064  0.5328
Cl  0.7255  0.0936  0.4672
Cl  0.7255  0.9064  0.9672
Cl  0.7812  0.3989  0.0356
Cl  0.7812  0.6011  0.5356